Record 1
Theoretical powder XRD pattern of AcZrTaN3 for Cu Kα, 1.54184 Å, from a DFT-relaxed cell (PBE, Alexandria).
Lines closer than 0.1° are merged.

Structural model:
abc: 5.944 3.385 8.690
angles: 90.00 103.73 90.00
Fractional positions:
Ac 0.142 0.250 0.191
Ac 0.858 0.750 0.809
Zr 0.268 0.750 0.549
Zr 0.732 0.250 0.451
Ta 0.381 0.250 0.859
Ta 0.619 0.750 0.141
N 0.073 0.250 0.656
N 0.277 0.750 0.981
N 0.470 0.750 0.347
N 0.530 0.250 0.653
N 0.723 0.250 0.019
N 0.927 0.750 0.344

Main lines, most intense first (2θ from 15° to 90°):
two_theta  d [Å]  I/Imax
35.20  2.549  100
33.66  2.663  84
31.83  2.812  47
30.25  2.955  43
30.62  2.920  20
41.90  2.156  18
63.36  1.468  18
54.19  1.692  16
33.18  2.700  15
41.80  2.161  13
46.91  1.937  13
54.87  1.673  13



Record 2
Theoretical powder XRD pattern of NaYMg14O16 for Cu Kα, 1.54184 Å, from a DFT-relaxed cell (PBE, Alexandria).
Lines closer than 0.1° are merged.

Structural model:
abc: 8.667 8.667 4.352
angles: 90.00 90.00 90.00
Fractional positions:
Na 0.000 0.000 0.000
Y 0.500 0.500 0.000
Mg 0.000 0.244 0.500
Mg 0.000 0.500 0.000
Mg 0.000 0.756 0.500
Mg 0.235 0.500 0.500
Mg 0.240 0.240 0.000
Mg 0.240 0.760 0.000
Mg 0.244 0.000 0.500
Mg 0.500 0.000 0.000
Mg 0.500 0.235 0.500
Mg 0.500 0.765 0.500
Mg 0.756 0.000 0.500
Mg 0.760 0.240 0.000
Mg 0.760 0.760 0.000
Mg 0.765 0.500 0.500
O 0.000 0.000 0.500
O 0.000 0.264 0.000
O 0.000 0.500 0.500
O 0.000 0.736 0.000
O 0.243 0.500 0.000
O 0.252 0.252 0.500
O 0.252 0.748 0.500
O 0.264 0.000 0.000
O 0.500 0.000 0.500
O 0.500 0.243 0.000
O 0.500 0.500 0.500
O 0.500 0.757 0.000
O 0.736 0.000 0.000
O 0.748 0.252 0.500
O 0.748 0.748 0.500
O 0.757 0.500 0.000

Main lines, most intense first (2θ from 15° to 90°):
two_theta  d [Å]  I/Imax
41.68  2.167  100
60.28  1.535  58
41.50  2.176  52
60.42  1.532  28
35.84  2.505  26
75.96  1.253  25
22.91  3.882  17
30.91  2.893  16
72.28  1.307  9
20.47  4.339  8
29.10  3.068  7
25.10  3.548  6